For LiThInI6, a DFT-relaxed cell (GGA-PBE, Alexandria) gives the theoretical powder X-ray diffraction pattern in this record (Cu Kα X-rays).

Cell and atoms:
Cell: 7.8385 7.8385 15.2884 Å, 90.00 90.00 120.00°
Space group P-31c (No. 163)
Symmetry-distinct sites (fractional):
Li (0.3333, 0.6667, 0.2500) x2
Th (0.3333, 0.6667, 0.7500) x2
In (0.0000, 0.0000, 0.0000) x2
I (0.0035, 0.3634, 0.1346) x12

The 8 most intense peaks (15 to 90 degrees two-theta), sorted by position:
17.47°, 5.076 Å, I = 35.3, (1 0 2)
25.54°, 3.488 Å, I = 100.0, (1 1 2)
32.73°, 2.736 Å, I = 67.7, (1 1 4)
36.96°, 2.432 Å, I = 16.3, (2 1 2)
39.84°, 2.263 Å, I = 40.6, (3 0 0)
42.31°, 2.136 Å, I = 26.2, (2 -1 6)
52.48°, 1.744 Å, I = 15.5, (4 -2 4)
63.74°, 1.460 Å, I = 17.2, (3 0 8)